[1]
The following is a simulated XRD peak list of EuGe2. It was derived from a crystal structure in the Materials Project, relaxed with GGA-PBE, using Cu Kα X-rays.
Peak positions follow from Bragg's law for the DFT cell and can differ from measured ones.

Top 10 peaks for 2θ = 10–90°, most intense first:
h k l  2θ/deg  d [Å]  I (rel.)
0 0 1  14.98  5.913  100.0
1 1 1  38.41  2.344  58.9
1 1 0  35.16  2.553  39.5
1 1 2  47.03  1.932  28.1
0 1 1  25.15  3.541  16.5
0 0 2  30.23  2.956  16.0
3 0 1  65.24  1.430  12.2
0 1 2  36.56  2.458  11.2
1 1 3  59.23  1.560  10.7
1 0 0  20.08  4.421  9.9

a = 5.1054 Å, b = 5.1054 Å, c = 5.9128 Å
α = 90.00°, β = 90.00°, γ = 120.00°
Space group P-3m1 (No. 164)
Unique sites:
Eu: 0.0000 0.0000 0.0000 (multiplicity 1)
Ge: 0.3333 0.6667 0.0508 (multiplicity 2)

[2]
The following is a simulated XRD peak list of Eu2Ge. It was derived from a crystal structure in the Materials Project, relaxed with GGA-PBE, using Cu Kα X-rays.
Peak positions follow from Bragg's law for the DFT cell and can differ from measured ones.

Top 10 peaks for 2θ = 10–90°, most intense first:
h k l  2θ/deg  d [Å]  I (rel.)
2 1 1  30.86  2.897  100.0
1 1 2  28.60  3.121  93.0
0 1 3  33.93  2.642  67.9
0 2 0  35.72  2.513  57.0
2 1 0  29.30  3.049  43.2
3 1 4  56.50  1.629  33.3
2 0 2  30.19  2.960  29.9
3 2 1  51.97  1.760  27.7
3 0 1  36.45  2.465  25.5
1 0 3  31.07  2.878  25.4

a = 7.6681 Å, b = 5.0267 Å, c = 9.3159 Å
α = 90.00°, β = 90.00°, γ = 90.00°
Space group Pnma (No. 62)
Unique sites:
Eu: 0.0193 0.2500 0.1842 (multiplicity 4)
Eu: 0.1562 0.2500 0.5798 (multiplicity 4)
Ge: 0.2471 0.2500 0.9012 (multiplicity 4)

[3]
The following is a simulated XRD peak list of EuGe2Ir. It was derived from a crystal structure in the Materials Project, relaxed with GGA-PBE, using Cu Kα X-rays.
Peak positions follow from Bragg's law for the DFT cell and can differ from measured ones.

Top 10 peaks for 2θ = 10–90°, most intense first:
h k l  2θ/deg  d [Å]  I (rel.)
1 1 1  29.20  3.058  100.0
1 5 0  32.43  2.761  87.9
1 3 1  32.66  2.742  83.2
2 0 0  40.23  2.241  59.0
0 2 0  10.10  8.760  58.4
0 0 2  41.96  2.153  52.4
0 6 1  37.20  2.417  50.8
0 4 1  29.08  3.071  42.8
1 5 2  54.01  1.698  41.7
0 8 1  46.57  1.950  41.7

a = 4.4829 Å, b = 17.5204 Å, c = 4.3063 Å
α = 90.00°, β = 90.00°, γ = 90.00°
Space group Cmcm (No. 63)
Unique sites:
Eu: 0.0000 0.1066 0.2500 (multiplicity 4)
Ge: 0.0000 0.2478 0.7500 (multiplicity 4)
Ge: 0.0000 0.4588 0.2500 (multiplicity 4)
Ir: 0.0000 0.3201 0.2500 (multiplicity 4)

Which formula does entry 1 have?
EuGe2